Entry 1:
Theoretical powder XRD pattern
Compound: MgZn2Sb4O12
Radiation: λ = 1.5418 Å (Cu Kα)
Structure: a crystal structure in the Materials Project, relaxed with GGA-PBE
Intensities are scaled so that the largest is 100.

Main lines, low angle first (2θ = 10–90°):
d/Å, I_rel
5.197, 21
3.506, 100
3.329, 91
2.822, 57
2.807, 70
2.433, 25
2.398, 32
1.867, 25
1.854, 25
1.812, 21
1.800, 24
1.753, 19

Atomic structure:
```
MgZn2Sb4O12
1.0
4.800 0.000 0.000
0.000 10.394 0.000
-0.251 0.000 4.865
Mg Zn Sb O
1 2 4 12
Cartesian
0.000 0.000 0.000
-0.126 4.614 2.433
2.400 8.929 0.000
-0.126 1.524 2.433
-0.126 7.735 2.433
2.400 2.888 0.000
2.400 6.031 0.000
0.682 9.239 3.541
0.765 6.185 3.400
0.893 2.998 3.283
1.288 1.395 0.767
1.398 7.536 1.032
1.430 4.486 0.847
3.119 4.486 4.018
3.150 7.536 3.833
3.260 1.395 4.099
3.655 2.998 1.582
3.783 6.185 1.465
3.866 9.239 1.324
```



Entry 2:
Theoretical powder XRD pattern
Compound: MgZn2Sb4O12
Radiation: λ = 1.5418 Å (Cu Kα)
Structure: a crystal structure in the Materials Project, relaxed with GGA-PBE
Intensities are scaled so that the largest is 100.

Main lines, low angle first (2θ = 10–90°):
d/Å, I_rel
3.898, 54
3.858, 100
2.803, 67
2.792, 67
2.779, 65
2.712, 61
2.680, 55
2.669, 60
1.949, 29
1.925, 29
1.570, 28
1.556, 33

Atomic structure:
```
MgZn2Sb4O12
1.0
5.338 0.000 0.000
-0.018 5.591 0.000
-0.109 -0.392 7.796
Mg Zn Sb O
1 2 4 12
Cartesian
0.000 0.000 0.000
0.015 5.008 3.957
2.615 2.401 0.002
-0.082 2.144 5.780
0.011 2.571 2.160
2.643 5.335 2.204
2.633 4.737 6.049
0.654 2.085 0.356
0.881 -0.105 5.716
0.958 0.826 2.776
1.566 3.748 2.761
1.871 2.896 5.959
1.948 5.022 0.330
3.357 -0.198 4.146
3.600 1.523 1.701
3.620 0.679 6.815
4.269 3.729 6.665
4.383 4.380 1.617
4.721 3.012 3.963
```



Entry 3:
Theoretical powder XRD pattern
Compound: MgZn2Sb4O12
Radiation: λ = 1.5418 Å (Cu Kα)
Structure: a crystal structure in the Materials Project, relaxed with GGA-PBE
Intensities are scaled so that the largest is 100.

Main lines, low angle first (2θ = 10–90°):
d/Å, I_rel
4.742, 30
4.142, 100
3.327, 83
2.928, 17
2.831, 64
2.612, 42
2.594, 30
2.550, 21
2.134, 19
1.873, 18
1.809, 32
1.748, 19

Atomic structure:
```
MgZn2Sb4O12
1.0
5.344 0.000 0.000
1.206 5.212 0.000
1.095 0.856 9.558
Mg Zn Sb O
1 2 4 12
Cartesian
0.000 0.000 0.000
2.550 2.006 6.174
4.735 3.742 1.508
2.076 1.632 3.046
3.340 2.636 9.456
5.832 4.608 7.501
5.870 4.651 4.358
0.911 3.275 0.036
0.839 0.642 4.316
1.132 0.893 1.414
2.159 1.716 8.124
3.153 2.479 4.377
3.202 2.524 1.517
4.322 3.421 7.942
4.826 5.434 5.890
4.555 5.219 2.977
3.389 0.133 0.017
6.393 3.446 5.881
6.130 3.239 2.982
```



Entry 4:
Theoretical powder XRD pattern
Compound: MgSc4Si4O14
Radiation: λ = 1.5418 Å (Cu Kα)
Structure: a crystal structure in the Materials Project, relaxed with GGA-PBE
Intensities are scaled so that the largest is 100.

Main lines, low angle first (2θ = 10–90°):
d/Å, I_rel
3.089, 100
2.662, 59
2.531, 9
2.363, 8
2.201, 24
1.961, 10
1.949, 20
1.757, 47
1.572, 16
1.565, 12
1.549, 11
1.396, 12

Atomic structure:
```
MgSc4Si4O14
1.0
-3.129 3.897 5.063
3.129 -3.897 5.063
3.129 3.897 -5.063
Mg Sc Si O
1 4 4 14
Cartesian
0.000 0.000 0.000
3.129 1.857 0.597
1.649 3.897 -1.717
1.480 0.000 3.346
0.000 2.041 5.660
0.000 2.367 0.714
0.000 5.428 0.714
-1.462 3.897 2.901
1.462 3.897 2.901
1.235 1.627 -0.277
1.894 -2.270 4.786
3.129 0.000 1.916
0.000 0.000 1.936
0.000 0.000 4.962
3.129 0.000 5.016
1.275 2.563 1.928
1.854 -1.335 6.991
1.235 6.168 -0.277
1.894 2.270 4.786
0.000 0.000 8.126
1.275 5.232 1.928
1.854 1.335 6.991
0.000 3.897 3.826
```



Entry 5:
Theoretical powder XRD pattern
Compound: Mg4Sc3Si8O24
Radiation: λ = 1.5418 Å (Cu Kα)
Structure: a crystal structure in the Materials Project, relaxed with GGA-PBE
Intensities are scaled so that the largest is 100.

Main lines, low angle first (2θ = 10–90°):
d/Å, I_rel
6.510, 20
3.317, 20
3.252, 100
2.973, 49
2.793, 43
2.527, 13
2.360, 12
2.027, 14
2.016, 19
1.681, 19
1.534, 18
1.531, 14

Atomic structure:
```
Mg4Sc3Si8O24
1.0
5.440 0.000 0.000
0.000 8.979 0.000
-0.025 0.000 9.451
Mg Sc Si O
4 3 8 24
Cartesian
0.000 0.000 0.000
-0.012 1.133 4.725
-0.012 4.423 4.725
2.708 8.661 4.725
0.000 5.495 0.000
2.708 2.908 4.725
2.720 7.337 0.000
0.944 7.361 2.808
0.962 2.856 1.966
1.727 5.768 6.665
1.738 1.256 7.507
3.678 1.256 1.944
3.689 5.768 2.786
4.454 2.856 7.485
4.471 7.361 6.643
0.259 1.864 8.026
0.267 6.393 6.094
0.842 4.322 1.367
0.863 2.870 3.627
0.875 7.438 1.169
1.000 8.756 3.616
1.688 8.827 8.313
1.708 4.365 5.846
1.727 5.828 8.277
1.746 1.177 5.854
2.361 2.118 1.492
2.416 6.713 3.315
2.999 6.713 6.136
3.055 2.118 7.959
3.670 1.177 3.597
3.688 5.828 1.173
3.708 4.365 3.605
3.727 8.827 1.138
4.415 8.756 5.835
4.540 7.438 8.282
4.553 2.870 5.824
4.573 4.322 8.084
5.156 1.864 1.425
5.148 6.393 3.356
```



Entry 6:
Theoretical powder XRD pattern
Compound: MgSc4Si4O14
Radiation: λ = 1.5418 Å (Cu Kα)
Structure: a crystal structure in the Materials Project, relaxed with GGA-PBE
Intensities are scaled so that the largest is 100.

Main lines, low angle first (2θ = 10–90°):
d/Å, I_rel
2.874, 46
2.724, 100
2.390, 18
2.207, 14
2.154, 28
1.916, 14
1.816, 15
1.724, 48
1.658, 54
1.530, 11
1.436, 20
1.195, 11

Atomic structure:
```
MgSc4Si4O14
1.0
3.316 1.914 5.750
-3.316 1.914 5.750
0.000 -3.829 5.750
Mg Sc Si O
1 4 4 14
Cartesian
0.000 0.000 0.000
0.000 0.000 4.059
0.000 -1.666 7.277
-1.443 0.833 7.277
1.443 0.833 7.277
-1.630 -0.941 9.802
1.630 -0.941 9.802
0.000 1.882 9.802
0.000 0.000 12.640
0.000 -2.346 4.390
-2.031 1.173 4.390
-1.986 -1.147 7.976
0.000 0.000 1.961
0.000 0.000 6.053
-1.357 -0.784 11.679
0.000 -1.518 9.496
-1.315 0.759 9.496
1.986 -1.147 7.976
0.000 2.293 7.976
2.031 1.173 4.390
1.357 -0.784 11.679
0.000 1.568 11.679
1.315 0.759 9.496
```



Entry 7:
Theoretical powder XRD pattern
Compound: MgSc4Ti2O10
Radiation: λ = 1.5418 Å (Cu Kα)
Structure: a crystal structure in the Materials Project, relaxed with GGA-PBE
Intensities are scaled so that the largest is 100.

Main lines, low angle first (2θ = 10–90°):
d/Å, I_rel
5.221, 29
3.648, 100
3.472, 35
3.034, 25
3.010, 40
2.840, 71
2.563, 26
2.401, 29
2.163, 33
1.947, 65
1.701, 21
1.604, 20

Atomic structure:
```
MgSc4Ti2O10
1.0
3.894 0.000 0.000
1.931 5.232 0.000
0.021 0.664 10.571
Mg Sc Ti O
1 4 2 10
Cartesian
0.000 0.000 0.000
1.938 2.185 0.689
1.963 1.698 7.881
3.892 4.247 2.682
3.914 3.527 5.927
1.919 1.688 4.137
3.904 4.105 9.045
1.931 4.001 1.751
1.955 4.043 9.405
1.966 2.732 5.944
1.920 0.968 2.259
1.967 0.873 9.923
3.959 5.078 4.537
3.896 5.040 7.327
3.919 2.435 3.994
3.885 2.089 0.215
3.909 2.374 7.871
```



Entry 8:
Theoretical powder XRD pattern
Compound: MgSc4Ti2O10
Radiation: λ = 1.5418 Å (Cu Kα)
Structure: a crystal structure in the Materials Project, relaxed with GGA-PBE
Intensities are scaled so that the largest is 100.

Main lines, low angle first (2θ = 10–90°):
d/Å, I_rel
5.340, 25
5.146, 43
3.698, 100
3.505, 33
3.055, 26
2.967, 43
2.890, 58
2.594, 29
2.576, 27
2.344, 35
2.058, 27
1.981, 66

Atomic structure:
```
MgSc4Ti2O10
1.0
5.148 -1.981 0.000
5.148 1.981 0.000
-0.302 0.000 10.681
Mg Sc Ti O
1 4 2 10
Cartesian
0.000 0.000 0.000
3.477 0.000 1.504
4.153 0.000 8.487
6.797 0.000 3.578
7.398 0.000 6.629
3.965 0.000 4.652
6.925 0.000 9.988
1.743 0.000 10.392
2.235 0.000 3.162
3.049 0.000 6.738
4.917 0.000 2.907
4.849 0.000 10.617
5.839 0.000 5.356
6.098 0.000 8.206
8.501 0.000 1.046
8.590 0.000 4.822
8.784 0.000 8.889
```



Entry 9:
Theoretical powder XRD pattern
Compound: MgSeO5
Radiation: λ = 1.5418 Å (Cu Kα)
Structure: a crystal structure in the Materials Project, relaxed with GGA-PBE
Intensities are scaled so that the largest is 100.

Main lines, low angle first (2θ = 10–90°):
d/Å, I_rel
5.068, 100
3.685, 40
3.639, 18
3.478, 91
3.297, 16
3.099, 23
2.680, 22
2.645, 29
2.429, 16
2.202, 22
1.627, 12
1.614, 13

Atomic structure:
```
MgSeO5
1.0
3.564 -3.961 0.000
3.564 3.961 0.000
-2.991 0.000 7.278
Mg Se O
2 2 10
Cartesian
1.782 1.981 0.000
0.286 -1.981 3.639
1.321 3.279 5.459
2.816 -3.279 1.820
-1.010 0.294 6.078
0.700 2.345 6.684
1.941 2.345 4.234
0.486 -0.294 2.439
2.816 1.327 1.820
1.321 -1.327 5.459
3.651 0.294 4.839
2.196 -2.345 3.045
3.437 -2.345 0.594
5.147 -0.294 1.200
```



Entry 10:
Theoretical powder XRD pattern
Compound: MgSe2O5
Radiation: λ = 1.5418 Å (Cu Kα)
Structure: a crystal structure in the Materials Project, relaxed with GGA-PBE
Intensities are scaled so that the largest is 100.

Main lines, low angle first (2θ = 10–90°):
d/Å, I_rel
4.219, 21
3.467, 100
3.135, 28
3.076, 16
2.904, 71
2.812, 17
2.196, 17
2.002, 20
1.843, 17
1.729, 26
1.636, 14
1.511, 13

Atomic structure:
```
MgSe2O5
1.0
6.938 0.000 0.000
0.000 10.542 0.000
0.000 0.000 6.152
Mg Se O
4 8 20
Cartesian
0.000 0.646 1.538
0.000 9.896 4.614
3.469 4.625 4.614
3.469 5.917 1.538
0.947 3.643 0.210
0.947 6.899 3.287
2.522 1.628 3.287
2.522 8.914 0.210
4.415 1.628 5.942
4.415 8.914 2.866
5.991 3.643 2.866
5.991 6.899 5.942
0.000 4.568 1.538
0.000 5.974 4.614
1.071 0.711 3.381
1.071 9.831 0.305
1.347 2.202 1.007
1.347 8.340 4.084
2.122 3.069 4.084
2.122 7.473 1.007
2.398 4.560 0.305
2.398 5.982 3.381
3.469 0.703 4.614
3.469 9.839 1.538
4.540 4.560 2.772
4.540 5.982 5.848
4.816 3.069 5.145
4.816 7.473 2.069
5.591 2.202 2.069
5.591 8.340 5.145
5.867 0.711 5.848
5.867 9.831 2.772
```